# Tb2HoErRh4
Theoretical powder diffractogram, Cu Kα (weighted mean of Kα1 and Kα2). Input: a cell relaxed with GGA-PBE.

Cell and atoms:
Unit cell a=4.8362 b=4.8362 c=23.7313 alpha=90.00 beta=90.00 gamma=120.00
Space group R-3m (No. 166, hexagonal axes)
Asymmetric unit:
Tb 0.0000 0.0000 0.2499 (multiplicity 6)
Ho 0.0000 0.0000 0.0000 (multiplicity 3)
Er 0.0000 0.0000 0.5000 (multiplicity 3)
Rh 0.0000 0.0000 0.1252 (multiplicity 6)
Rh 0.0000 0.0000 0.3752 (multiplicity 6)

The 10 most intense peaks (2θ = 15–90°), in order of rising 2θ:
| d (Å) | I/Imax |
| --- | --- |
| 3.422 | 51 |
| 2.419 | 1000 |
| 1.975 | 16 |
| 1.711 | 174 |
| 1.530 | 22 |
| 1.397 | 264 |
| 1.396 | 88 |
| 1.210 | 55 |
| 1.209 | 55 |
| 1.140 | 9 |